No. 1
LiMg3Ga3Ni2: calculated X-ray diffraction stick pattern (Cu Kα, 1.54184 Å), based on a cell relaxed with PBE.
Kinematic intensities with the Lorentz-polarization factor, no thermal factor.

The 8 most intense peaks (2θ = 10–90°), in order of falling intensity:
| two_theta | d (Å) | I (rel.) |
| --- | --- | --- |
| 39.28 | 2.293 | 100 |
| 42.16 | 2.144 | 66 |
| 13.77 | 6.431 | 39 |
| 23.97 | 3.713 | 25 |
| 58.98 | 1.566 | 24 |
| 75.13 | 1.265 | 19 |
| 79.50 | 1.206 | 18 |
| 41.82 | 2.160 | 17 |

Cell and atoms:
Cell lengths 7.4258, 7.4258, 2.9162 Å; angles 90.00, 90.00, 120.00 degrees
Atoms (fractional coordinates):
1 Li 0.0000 0.0000 0.0000
2 Mg 0.0000 0.6946 0.5000
3 Mg 0.3054 0.3054 0.5000
4 Mg 0.6946 0.0000 0.5000
5 Ga 0.0000 0.3656 0.0000
6 Ga 0.3656 0.0000 0.0000
7 Ga 0.6344 0.6344 0.0000
8 Ni 0.3333 0.6667 0.5000
9 Ni 0.6667 0.3333 0.5000

***

No. 2
Ag4IBr3: calculated X-ray diffraction stick pattern (Cu Kα, 1.54184 Å), based on a cell relaxed with PBE.
Kinematic intensities with the Lorentz-polarization factor, no thermal factor.

The 8 most intense peaks (2θ = 10–90°), in order of falling intensity:
| two_theta | d (Å) | I (rel.) |
| --- | --- | --- |
| 22.71 | 3.916 | 100 |
| 39.87 | 2.261 | 89 |
| 43.49 | 2.081 | 88 |
| 25.76 | 3.458 | 67 |
| 24.16 | 3.684 | 58 |
| 47.16 | 1.927 | 55 |
| 33.39 | 2.684 | 38 |
| 74.90 | 1.268 | 33 |

Cell and atoms:
Cell lengths 9.0494, 7.8279, 7.3689 Å; angles 90.00, 90.00, 90.00 degrees
Atoms (fractional coordinates):
1 Ag 0.0000 0.1598 0.0000
2 Ag 0.0000 0.8233 0.5120
3 Ag 0.2463 0.6628 0.0148
4 Ag 0.2537 0.3372 0.5148
5 Ag 0.5000 0.1767 0.0120
6 Ag 0.5000 0.8402 0.5000
7 Ag 0.7463 0.3372 0.5148
8 Ag 0.7537 0.6628 0.0148
9 I 0.0000 0.1648 0.3854
10 I 0.5000 0.8352 0.8854
11 Br 0.0000 0.8265 0.8854
12 Br 0.2483 0.3336 0.8873
13 Br 0.2517 0.6664 0.3873
14 Br 0.5000 0.1735 0.3854
15 Br 0.7483 0.6664 0.3873
16 Br 0.7517 0.3336 0.8873

***

No. 3
KCu: calculated X-ray diffraction stick pattern (Cu Kα, 1.54184 Å), based on a cell relaxed with PBE.
Kinematic intensities with the Lorentz-polarization factor, no thermal factor.

The 8 most intense peaks (2θ = 10–90°), in order of falling intensity:
| two_theta | d (Å) | I (rel.) |
| --- | --- | --- |
| 11.82 | 7.487 | 100 |
| 14.76 | 6.001 | 66 |
| 32.36 | 2.766 | 43 |
| 32.57 | 2.750 | 38 |
| 28.37 | 3.146 | 34 |
| 38.64 | 2.330 | 34 |
| 29.77 | 3.001 | 31 |
| 53.73 | 1.706 | 27 |

Cell and atoms:
Cell lengths 12.0055, 4.3356, 7.4891 Å; angles 90.00, 91.23, 90.00 degrees
Atoms (fractional coordinates):
1 K 0.0000 0.0000 0.0000
2 K 0.0468 0.5000 0.5883
3 K 0.2733 0.0000 0.2935
4 K 0.5000 0.5000 0.0000
5 K 0.5468 0.0000 0.5883
6 K 0.7733 0.5000 0.2935
7 Cu 0.2254 0.5000 0.9317
8 Cu 0.2736 0.0000 0.7940
9 Cu 0.3222 0.5000 0.6539
10 Cu 0.7254 0.0000 0.9317
11 Cu 0.7736 0.5000 0.7940
12 Cu 0.8222 0.0000 0.6539

***

No. 4
AcBPt4Pb: calculated X-ray diffraction stick pattern (Cu Kα, 1.54184 Å), based on a cell relaxed with PBE.
Kinematic intensities with the Lorentz-polarization factor, no thermal factor.

The 8 most intense peaks (2θ = 10–90°), in order of falling intensity:
| two_theta | d (Å) | I (rel.) |
| --- | --- | --- |
| 14.95 | 5.927 | 100 |
| 28.84 | 3.095 | 64 |
| 38.21 | 2.355 | 63 |
| 24.53 | 3.630 | 60 |
| 45.93 | 1.976 | 55 |
| 30.16 | 2.964 | 55 |
| 50.28 | 1.815 | 45 |
| 43.17 | 2.096 | 32 |

Cell and atoms:
Cell lengths 7.2592, 7.2592, 7.2592 Å; angles 60.00, 60.00, 60.00 degrees
Atoms (fractional coordinates):
1 Ac 0.0000 0.0000 0.0000
2 B 0.5000 0.5000 0.5000
3 Pt 0.1779 0.6074 0.6074
4 Pt 0.6074 0.1779 0.6074
5 Pt 0.6074 0.6074 0.1779
6 Pt 0.6074 0.6074 0.6074
7 Pb 0.7500 0.7500 0.7500

***

No. 5
Hf4Bi3Te: calculated X-ray diffraction stick pattern (Cu Kα, 1.54184 Å), based on a cell relaxed with PBE.
Kinematic intensities with the Lorentz-polarization factor, no thermal factor.

The 8 most intense peaks (2θ = 10–90°), in order of falling intensity:
| two_theta | d (Å) | I (rel.) |
| --- | --- | --- |
| 33.81 | 2.651 | 100 |
| 33.48 | 2.676 | 79 |
| 60.06 | 1.540 | 39 |
| 43.68 | 2.072 | 32 |
| 48.08 | 1.893 | 29 |
| 66.96 | 1.397 | 18 |
| 11.91 | 7.429 | 16 |
| 72.80 | 1.299 | 14 |

Cell and atoms:
Cell lengths 5.3523, 10.7073, 7.4295 Å; angles 90.00, 90.00, 90.00 degrees
Atoms (fractional coordinates):
1 Hf 0.2500 0.0015 0.1134
2 Hf 0.2500 0.2500 0.8791
3 Hf 0.2500 0.4985 0.1134
4 Hf 0.2500 0.7500 0.8844
5 Hf 0.7500 0.2500 0.1156
6 Hf 0.7500 0.5015 0.8866
7 Hf 0.7500 0.7500 0.1209
8 Hf 0.7500 0.9985 0.8866
9 Bi 0.2500 0.0005 0.6892
10 Bi 0.2500 0.4995 0.6892
11 Bi 0.2500 0.7500 0.3088
12 Bi 0.7500 0.9995 0.3108
13 Bi 0.7500 0.2500 0.6912
14 Bi 0.7500 0.5005 0.3108
15 Te 0.2500 0.2500 0.2805
16 Te 0.7500 0.7500 0.7195

***

No. 6
U2NiS5: calculated X-ray diffraction stick pattern (Cu Kα, 1.54184 Å), based on a cell relaxed with PBE.
Kinematic intensities with the Lorentz-polarization factor, no thermal factor.

The 8 most intense peaks (2θ = 10–90°), in order of falling intensity:
| two_theta | d (Å) | I (rel.) |
| --- | --- | --- |
| 26.99 | 3.303 | 100 |
| 36.91 | 2.435 | 87 |
| 38.29 | 2.351 | 87 |
| 23.72 | 3.751 | 80 |
| 49.96 | 1.826 | 46 |
| 16.06 | 5.519 | 44 |
| 34.52 | 2.598 | 43 |
| 29.61 | 3.017 | 42 |

Cell and atoms:
Cell lengths 7.5018, 11.0378, 3.6024 Å; angles 90.00, 90.00, 90.00 degrees
Atoms (fractional coordinates):
1 U 0.0054 0.1848 0.0000
2 U 0.4946 0.6848 0.0000
3 U 0.5054 0.3152 0.0000
4 U 0.9946 0.8152 0.0000
5 Ni 0.0000 0.5000 0.5000
6 Ni 0.5000 0.0000 0.5000
7 S 0.0000 0.0000 0.5000
8 S 0.1438 0.4158 0.0000
9 S 0.2064 0.6985 0.5000
10 S 0.2936 0.1985 0.5000
11 S 0.3562 0.9158 0.0000
12 S 0.5000 0.5000 0.5000
13 S 0.6438 0.0842 0.0000
14 S 0.7064 0.8015 0.5000
15 S 0.7936 0.3015 0.5000
16 S 0.8562 0.5842 0.0000